Calculated powder diffraction line list
Compound: Nd4Ni3O8
Radiation: Cu Kα (λ = 1.5418 Å)
Structure: a PBE+U-relaxed structure
Kinematic intensities with the Lorentz-polarization factor, no thermal factor.

Crystal structure
```
15
Lattice="-1.981 1.981 12.699 1.981 -1.981 12.699 1.981 1.981 -12.699" Properties=species:S:1:pos:R:3 pbc="T T T"
Nd 0.000 0.000 1.682
Nd 0.000 0.000 5.122
Nd 0.000 0.000 20.277
Nd 0.000 0.000 23.717
Ni 0.000 0.000 9.520
Ni 0.000 0.000 12.699
Ni 0.000 0.000 15.879
O 1.981 0.000 0.000
O 1.981 0.000 3.188
O 1.981 0.000 6.350
O 1.981 0.000 9.512
O 0.000 1.981 0.000
O 0.000 1.981 3.188
O 0.000 1.981 6.350
O 0.000 1.981 9.512
```

Principal peaks in the range 2θ from 10° to 90°, by angle:
- 2θ 22.7, 3.915 Å, I = 21
- 2θ 28.6, 3.124 Å, I = 10
- 2θ 31.9, 2.802 Å, I = 49
- 2θ 33.5, 2.676 Å, I = 100
- 2θ 39.2, 2.299 Å, I = 11
- 2θ 43.1, 2.101 Å, I = 20
- 2θ 45.8, 1.981 Å, I = 35
- 2θ 57.9, 1.592 Å, I = 41
- 2θ 66.8, 1.401 Å, I = 11
- 2θ 75.9, 1.253 Å, I = 9